# 1
Starting from the GGA-PBE geometry in Alexandria, the powder diffraction line list of TaMoRu was computed for Cu Kα X-rays.

Lattice parameters (Å, degrees): 10.020 3.185 3.185 90.00 108.51 90.00
Space group Cm (No. 8)
One atom of each set of equivalent atoms:
Ta 0.000 0.000 0.000 (multiplicity 2)
Mo 0.335 0.000 0.337 (multiplicity 2)
Ru 0.164 0.500 0.664 (multiplicity 2)

Most intense lines, 10 to 80 degrees two-theta, in order of rising 2θ:
2θ/deg  d [Å]  Rel. int.
18.68  4.751  8
29.58  3.020  9
40.04  2.252  50
40.15  2.246  100
44.52  2.035  4
56.34  1.633  3
57.91  1.592  17
58.26  1.584  8
72.81  1.299  34
73.04  1.295  17

***

# 2
Starting from the GGA-PBE geometry in Alexandria, the powder diffraction line list of Nd3Y4 was computed for Cu Kα X-rays.

Lattice parameters (Å, degrees): 17.029 3.527 8.853 90.00 116.85 90.00
Space group C2/m (No. 12)
One atom of each set of equivalent atoms:
Nd 0.000 0.000 0.000 (multiplicity 2)
Nd 0.222 0.000 0.148 (multiplicity 4)
Y 0.078 0.000 0.699 (multiplicity 4)
Y 0.136 0.500 0.410 (multiplicity 4)

Most intense lines, 10 to 80 degrees two-theta, in order of rising 2θ:
2θ/deg  d [Å]  Rel. int.
25.93  3.436  27
27.23  3.275  38
30.02  2.977  85
30.37  2.943  100
30.50  2.931  98
32.24  2.776  84
32.76  2.734  42
36.37  2.470  50
36.74  2.446  28
61.31  1.512  52